For SrNiF4, a crystal structure in Alexandria, relaxed with PBE+U gives the simulated PXRD pattern in this record (a wavelength of 1.5418 Å).
Neutral-atom scattering factors, no anomalous dispersion.

Crystal structure
```
24
Lattice="7.663 0.000 0.000 0.000 5.660 0.000 -1.567 0.000 7.821" Properties=species:S:1:pos:R:3 pbc="T T T"
Sr 0.731 1.280 3.174
Sr -0.052 1.550 7.084
Sr 6.149 4.110 0.736
Sr 5.365 4.381 4.646
Ni 2.233 4.113 1.576
Ni 1.450 4.378 5.487
Ni 4.647 1.283 2.334
Ni 3.863 1.548 6.244
F 0.573 2.932 1.310
F -0.210 5.558 5.220
F 1.076 0.003 1.052
F 0.292 2.828 4.962
F 1.042 3.761 7.415
F 1.825 4.729 3.504
F 2.136 0.539 6.134
F 2.919 2.291 2.224
F 3.177 3.369 5.597
F 3.961 5.121 1.687
F 4.271 0.931 4.316
F 5.055 1.899 0.406
F 5.021 5.658 6.769
F 5.804 2.833 2.858
F 6.306 0.102 2.600
F 5.523 2.728 6.510
```

Main lines, by intensity (5 to 70 degrees two-theta):
h k l  d (Å)  Position (°2θ)  I (rel.)
2 1 0  3.130  28.52  100.0
0 1 2  3.218  27.73  98.8
2 0 0  3.757  23.68  39.8
1 1 -2  3.147  28.36  38.5
1 0 -4  1.990  45.59  33.0
4 1 0  1.783  51.24  31.5
0 2 0  2.830  31.61  27.5
2 3 0  1.687  54.39  23.9
2 2 -2  2.066  43.83  23.5
1 2 2  2.126  42.53  23.3